Entry 1:
# RbDyNiCl6
Theoretical powder diffraction line list, Cu Kα (λ = 1.5418 Å). Input: a crystal structure in Alexandria, relaxed with GGA-PBE.
Neutral-atom scattering factors, no anomalous dispersion.

The 6 most intense peaks (2θ = 10–90°), by angle:
index  2θ (°)  I/Imax
0 0 1  11.96  49
1 0 1  19.59  100
2 -1 1  29.56  28
2 -1 2  36.42  68
3 -1 1  43.51  26
3 0 0  47.57  21

Structure:
Lattice parameters (Å, degrees): 6.6220 6.6220 7.3970 90.00 90.00 120.00
Space group P312 (No. 149)
Asymmetric unit:
Rb (0.0000, 0.0000, 0.0000) [1 per cell]
Dy (0.6667, 0.3333, 0.5000) [1 per cell]
Ni (0.3333, 0.6667, 0.5000) [1 per cell]
Cl (0.0246, 0.3834, 0.6951) [6 per cell]

---

Entry 2:
# Cd3In4
Theoretical powder diffraction line list, Cu Kα (λ = 1.5418 Å). Input: a crystal structure in Alexandria, relaxed with GGA-PBE.
Neutral-atom scattering factors, no anomalous dispersion.

The 6 most intense peaks (2θ = 10–90°), by angle:
index  2θ (°)  I/Imax
0 1 8  34.12  100
1 1 0  36.03  92
2 0 8  50.46  32
1 0 16  59.81  15
1 2 8  63.55  31
3 0 0  64.77  16

Structure:
Lattice parameters (Å, degrees): 4.9858 4.9858 26.4980 90.00 90.00 120.00
Space group R-3m (No. 166, hexagonal axes)
Asymmetric unit:
Cd (0.0000, 0.0000, 0.0000) [3 per cell]
Cd (0.0000, 0.0000, 0.2481) [6 per cell]
In (0.0000, 0.0000, 0.1326) [6 per cell]
In (0.0000, 0.0000, 0.3802) [6 per cell]

---

Entry 3:
# Sm8As3S4
Theoretical powder diffraction line list, Cu Kα (λ = 1.5418 Å). Input: a crystal structure in Alexandria, relaxed with GGA-PBE.
Neutral-atom scattering factors, no anomalous dispersion.

The 6 most intense peaks (2θ = 10–90°), by angle:
index  2θ (°)  I/Imax
2 2 -2  26.71  54
0 4 0  30.94  100
4 0 -4  44.32  73
2 6 -2  52.47  17
4 4 -4  55.03  26
8 4 -4  73.25  16

Structure:
Lattice parameters (Å, degrees): 11.5478 11.5631 8.1688 90.00 134.88 90.00
Space group C2/m (No. 12)
Asymmetric unit:
Sm (0.0000, 0.2455, 0.0000) [4 per cell]
Sm (0.0000, 0.2491, 0.5000) [4 per cell]
Sm (0.2430, 0.0000, 0.4891) [4 per cell]
Sm (0.2448, 0.0000, 0.9970) [4 per cell]
As (0.0000, 0.5000, 0.5000) [2 per cell]
As (0.2500, 0.2500, 0.0000) [4 per cell]
S (0.0000, 0.0000, 0.0000) [2 per cell]
S (0.0000, 0.0000, 0.5000) [2 per cell]
S (0.2500, 0.2500, 0.5000) [4 per cell]

---

Entry 4:
# PmMnRe
Theoretical powder diffraction line list, Cu Kα (λ = 1.5418 Å). Input: a crystal structure in Alexandria, relaxed with GGA-PBE.
Neutral-atom scattering factors, no anomalous dispersion.

The 6 most intense peaks (2θ = 10–90°), by angle:
index  2θ (°)  I/Imax
0 2 0  32.08  42
1 1 2  33.10  44
1 2 1  38.45  35
0 1 3  38.56  57
2 1 1  40.07  100
2 2 4  69.46  35

Structure:
Lattice parameters (Å, degrees): 5.1896 5.5795 7.7115 90.00 90.00 90.00
Space group Imma (No. 74)
Asymmetric unit:
Pm (0.0000, 0.2500, 0.1231) [4 per cell]
Mn (0.0000, 0.0000, 0.5000) [4 per cell]
Re (0.2500, 0.2500, 0.7500) [4 per cell]

---

Entry 5:
# Cs2YPbI6
Theoretical powder diffraction line list, Cu Kα (λ = 1.5418 Å). Input: a crystal structure in Alexandria, relaxed with GGA-PBE.
Neutral-atom scattering factors, no anomalous dispersion.

The 6 most intense peaks (2θ = 10–90°), by angle:
index  2θ (°)  I/Imax
2 0 2  24.01  91
0 0 4  26.04  58
2 2 0  28.64  100
2 2 4  39.09  78
4 0 0  40.94  38
4 0 4  49.16  40

Structure:
Lattice parameters (Å, degrees): 8.8171 8.8171 13.6895 90.00 90.00 90.00
Space group I4/mmm (No. 139)
Asymmetric unit:
Cs (0.0000, 0.5000, 0.2500) [4 per cell]
Y (0.0000, 0.0000, 0.0000) [2 per cell]
Pb (0.0000, 0.0000, 0.5000) [2 per cell]
I (0.0000, 0.0000, 0.2218) [4 per cell]
I (0.2429, 0.2429, 0.0000) [8 per cell]

---

Entry 6:
# NaSr2AcF8
Theoretical powder diffraction line list, Cu Kα (λ = 1.5418 Å). Input: a crystal structure in Alexandria, relaxed with GGA-PBE.
Neutral-atom scattering factors, no anomalous dispersion.

The 6 most intense peaks (2θ = 10–90°), by angle:
index  2θ (°)  I/Imax
0 0 1  10.60  34
0 1 1  18.50  31
1 0 1  23.75  18
0 1 2  26.18  100
1 2 2  43.48  47
2 1 2  51.21  16

Structure:
Lattice parameters (Å, degrees): 4.1916 5.8599 8.3449 90.00 90.00 90.00
Space group Pmmm (No. 47)
Asymmetric unit:
Na (0.0000, 0.0000, 0.0000) [1 per cell]
Sr (0.5000, 0.5000, 0.2288) [2 per cell]
Ac (0.0000, 0.0000, 0.5000) [1 per cell]
F (0.0000, 0.2550, 0.2637) [4 per cell]
F (0.5000, 0.2454, 0.5000) [2 per cell]
F (0.5000, 0.2516, 0.0000) [2 per cell]

---

Entry 7:
# CaU2P2O18
Theoretical powder diffraction line list, Cu Kα (λ = 1.5418 Å). Input: a crystal structure in Alexandria, relaxed with GGA-PBE.
Neutral-atom scattering factors, no anomalous dispersion.

The 6 most intense peaks (2θ = 10–90°), by angle:
index  2θ (°)  I/Imax
0 0 1  10.25  100
1 0 -1  15.77  20
0 1 1  16.36  30
1 1 0  18.01  39
0 1 2  24.26  26
0 2 0  25.57  57

Structure:
Lattice parameters (Å, degrees): 6.9865 6.9637 8.6534 90.00 94.07 90.00
Space group Pm (No. 6)
Asymmetric unit:
Ca (0.0000, 0.0000, 0.0000) [1 per cell]
U (0.2739, 0.5000, 0.2097) [1 per cell]
U (0.7811, 0.0000, 0.4161) [1 per cell]
P (0.2577, 0.0000, 0.3129) [1 per cell]
P (0.7733, 0.5000, 0.3166) [1 per cell]
O (0.1026, 0.0000, 0.4336) [1 per cell]
O (0.2264, 0.1726, 0.2004) [2 per cell]
O (0.2495, 0.5000, 0.9978) [1 per cell]
O (0.2815, 0.0000, 0.7367) [1 per cell]
O (0.3054, 0.5000, 0.4188) [1 per cell]
O (0.3319, 0.1055, 0.8798) [2 per cell]
O (0.4608, 0.0000, 0.3963) [1 per cell]
O (0.5947, 0.5000, 0.2026) [1 per cell]
O (0.7723, 0.0000, 0.7114) [1 per cell]
O (0.7750, 0.3151, 0.4199) [2 per cell]
O (0.7969, 0.0000, 0.1982) [1 per cell]
O (0.8400, 0.1657, 0.7829) [2 per cell]
O (0.9118, 0.5000, 0.9491) [1 per cell]
O (0.9533, 0.5000, 0.2243) [1 per cell]

---

Entry 8:
# La8GaSb5
Theoretical powder diffraction line list, Cu Kα (λ = 1.5418 Å). Input: a crystal structure in Alexandria, relaxed with GGA-PBE.
Neutral-atom scattering factors, no anomalous dispersion.

The 6 most intense peaks (2θ = 10–90°), by angle:
index  2θ (°)  I/Imax
1 0 3  29.02  48
1 3 0  29.28  100
2 1 3  34.58  39
3 2 1  34.75  59
4 2 2  46.04  17
5 2 3  58.95  13

Structure:
Lattice parameters (Å, degrees): 9.6409 9.6409 9.7408 90.00 90.00 90.00
Space group I-4 (No. 82)
Asymmetric unit:
La (0.0702, 0.1865, 0.3029) [8 per cell]
La (0.0717, 0.3222, 0.9488) [8 per cell]
Ga (0.0000, 0.5000, 0.2500) [2 per cell]
Sb (0.0000, 0.0000, 0.0000) [2 per cell]
Sb (0.1220, 0.2497, 0.6263) [8 per cell]